Simulated X-ray diffraction stick pattern of Be3Os2Pt2 for Cu Kα (λ = 1.5418 Å), from the GGA-PBE geometry in OQMD.
Peak positions follow from Bragg's law for the DFT cell and can differ from measured ones.

Cell and atoms:
```
data_Be3Os2Pt2
_space_group_name_H-M_alt 'R 3 m'
_space_group_IT_number 160
_space_group_name_Hall 'R 3 -2"'
_cell_length_a 3.9464
_cell_length_b 3.9464
_cell_length_c 19.1062
_cell_angle_alpha 90.00
_cell_angle_beta 90.00
_cell_angle_gamma 120.00
loop_
_atom_site_label
_atom_site_fract_x
_atom_site_fract_y
_atom_site_fract_z
Be1 0.0000 0.0000 0.0000
Be2 0.0000 0.0000 0.2510
Be3 0.0000 0.0000 0.5032
Os1 0.0000 0.0000 0.1230
Os2 0.0000 0.0000 0.6298
Pt1 0.0000 0.0000 0.3795
Pt2 0.0000 0.0000 0.8748
```

Top 11 peaks for 2θ from 10° to 90°, in order of falling intensity:
32.21 deg, rel. 100
46.00 deg, rel. 42
46.38 deg, rel. 40
57.26 deg, rel. 20
76.38 deg, rel. 17
76.95 deg, rel. 16
85.45 deg, rel. 14
67.38 deg, rel. 13
85.17 deg, rel. 7
86.29 deg, rel. 7
57.92 deg, rel. 6



Simulated X-ray diffraction stick pattern of HfCo2Ge for Cu Kα (λ = 1.5418 Å), from the GGA-PBE geometry in OQMD.
Peak positions follow from Bragg's law for the DFT cell and can differ from measured ones.

Cell and atoms:
```
data_HfCo2Ge
_space_group_name_H-M_alt 'F -4 3 m'
_space_group_IT_number 216
_space_group_name_Hall 'F -4 2 3'
_cell_length_a 6.0841
_cell_length_b 6.0841
_cell_length_c 6.0841
_cell_angle_alpha 90.00
_cell_angle_beta 90.00
_cell_angle_gamma 90.00
loop_
_atom_site_label
_atom_site_fract_x
_atom_site_fract_y
_atom_site_fract_z
Hf1 0.0000 0.0000 0.0000
Co1 0.0000 0.0000 0.5000
Co2 0.2500 0.2500 0.2500
Ge1 0.2500 0.2500 0.7500
```

Top 10 peaks for 2θ from 10° to 90°, in order of falling intensity:
42.00 deg, rel. 100
76.74 deg, rel. 32
25.36 deg, rel. 23
60.91 deg, rel. 16
49.70 deg, rel. 12
29.36 deg, rel. 9
67.05 deg, rel. 5
82.36 deg, rel. 4
69.04 deg, rel. 3
52.07 deg, rel. 3



Simulated X-ray diffraction stick pattern of KNiP2Pd for Cu Kα (λ = 1.5418 Å), from the GGA-PBE geometry in OQMD.
Peak positions follow from Bragg's law for the DFT cell and can differ from measured ones.

Cell and atoms:
```
data_KNiP2Pd
_space_group_name_H-M_alt 'C 1 2 1'
_space_group_IT_number 5
_space_group_name_Hall 'C 2y'
_cell_length_a 5.2941
_cell_length_b 6.6305
_cell_length_c 6.3907
_cell_angle_alpha 90.00
_cell_angle_beta 110.55
_cell_angle_gamma 90.00
loop_
_atom_site_label
_atom_site_fract_x
_atom_site_fract_y
_atom_site_fract_z
K1 0.0000 0.0000 0.0000
Ni1 0.0000 0.7995 0.5000
P1 0.1168 0.5054 0.3618
Pd1 0.0000 0.2000 0.5000
```

Top 12 peaks for 2θ from 10° to 90°, in order of falling intensity:
14.80 deg, rel. 100
29.86 deg, rel. 25
30.83 deg, rel. 23
32.00 deg, rel. 22
43.83 deg, rel. 20
36.24 deg, rel. 17
49.69 deg, rel. 16
45.31 deg, rel. 12
53.62 deg, rel. 12
55.38 deg, rel. 12
22.39 deg, rel. 9
47.30 deg, rel. 9



Simulated X-ray diffraction stick pattern of In2Cu2Se3S for Cu Kα (λ = 1.5418 Å), from the GGA-PBE geometry in OQMD.
Peak positions follow from Bragg's law for the DFT cell and can differ from measured ones.

Cell and atoms:
```
data_In2Cu2Se3S
_space_group_name_H-M_alt 'C 1 2 1'
_space_group_IT_number 5
_space_group_name_Hall 'C 2y'
_cell_length_a 12.9968
_cell_length_b 5.7786
_cell_length_c 5.7871
_cell_angle_alpha 90.00
_cell_angle_beta 116.39
_cell_angle_gamma 90.00
loop_
_atom_site_label
_atom_site_fract_x
_atom_site_fract_y
_atom_site_fract_z
In1 0.1234 0.0000 0.3793
Cu1 0.1186 0.4802 0.8550
Se1 0.0000 0.7126 0.0000
Se2 0.2503 0.2432 0.2160
S1 0.0000 0.2689 0.5000
```

Top 12 peaks for 2θ from 10° to 90°, in order of falling intensity:
26.64 deg, rel. 100
44.15 deg, rel. 47
52.45 deg, rel. 27
44.30 deg, rel. 22
52.18 deg, rel. 15
70.80 deg, rel. 11
81.43 deg, rel. 9
35.56 deg, rel. 7
81.12 deg, rel. 7
27.69 deg, rel. 5
71.03 deg, rel. 5
63.97 deg, rel. 4



Simulated X-ray diffraction stick pattern of LaPrNCl for Cu Kα (λ = 1.5418 Å), from the GGA-PBE geometry in OQMD.
Peak positions follow from Bragg's law for the DFT cell and can differ from measured ones.

Cell and atoms:
```
data_LaPrNCl
_space_group_name_H-M_alt 'P -6 m 2'
_space_group_IT_number 187
_space_group_name_Hall 'P -6 2'
_cell_length_a 3.7177
_cell_length_b 3.7177
_cell_length_c 14.3021
_cell_angle_alpha 90.00
_cell_angle_beta 90.00
_cell_angle_gamma 120.00
loop_
_atom_site_label
_atom_site_fract_x
_atom_site_fract_y
_atom_site_fract_z
La1 0.0000 0.0000 0.1564
Pr1 0.3333 0.6667 0.3463
N1 0.6667 0.3333 0.2518
Cl1 0.0000 0.0000 0.5000
Cl2 0.3333 0.6667 0.0000
```

Top 12 peaks for 2θ from 10° to 90°, in order of falling intensity:
33.59 deg, rel. 100
49.00 deg, rel. 25
27.71 deg, rel. 24
28.42 deg, rel. 23
63.45 deg, rel. 19
60.72 deg, rel. 18
12.38 deg, rel. 16
81.66 deg, rel. 15
37.74 deg, rel. 13
47.46 deg, rel. 13
53.09 deg, rel. 12
24.90 deg, rel. 11



Simulated X-ray diffraction stick pattern of CsSmO3 for Cu Kα (λ = 1.5418 Å), from the GGA-PBE geometry in OQMD.
Peak positions follow from Bragg's law for the DFT cell and can differ from measured ones.

Cell and atoms:
```
data_CsSmO3
_space_group_name_H-M_alt 'R -3 c'
_space_group_IT_number 167
_space_group_name_Hall '-R 3 2"c'
_cell_length_a 6.5225
_cell_length_b 6.5225
_cell_length_c 15.9350
_cell_angle_alpha 90.00
_cell_angle_beta 90.00
_cell_angle_gamma 120.00
loop_
_atom_site_label
_atom_site_fract_x
_atom_site_fract_y
_atom_site_fract_z
Cs1 0.0000 0.0000 0.2500
Sm1 0.0000 0.0000 0.0000
O1 0.0000 0.4985 0.2500
```

Top 12 peaks for 2θ from 10° to 90°, in order of falling intensity:
27.37 deg, rel. 100
48.36 deg, rel. 32
39.10 deg, rel. 30
63.88 deg, rel. 19
77.46 deg, rel. 16
48.46 deg, rel. 11
56.43 deg, rel. 10
56.54 deg, rel. 10
77.63 deg, rel. 5
70.79 deg, rel. 5
84.01 deg, rel. 3
19.26 deg, rel. 2